# LiNbVO4
Simulated powder diffractogram, CuKα. Input: DFT lattice parameters and positions (PBE+U).

Main lines, by intensity (10° ≤ 2θ ≤ 90°):
| index | 2theta | I (rel.) |
| --- | --- | --- |
| 1 1 2 | 28.9 | 1000 |
| 2 1 1 | 34.1 | 849 |
| 1 0 3 | 33.9 | 430 |
| 1 0 1 | 17.6 | 382 |
| 2 2 4 | 59.8 | 359 |
| 3 2 1 | 54.6 | 309 |
| 3 1 2 | 51.3 | 260 |
| 4 0 0 | 60.0 | 177 |
| 1 1 1 | 22.8 | 137 |
| 4 3 3 | 85.5 | 134 |

Structure:
a = 6.1668 Å, b = 6.1668 Å, c = 8.7707 Å
α = 90.00°, β = 90.00°, γ = 90.00°
Fractional coordinates of all 28 atoms:
1 Li 0.0000 0.2304 0.0000
2 Li 0.0000 0.7696 0.5000
3 Li 0.2304 0.0000 0.2500
4 Li 0.7696 0.0000 0.7500
5 Nb 0.2531 0.2531 0.6250
6 Nb 0.2531 0.7469 0.8750
7 Nb 0.7469 0.2531 0.3750
8 Nb 0.7469 0.7469 0.1250
9 V 0.2421 0.5000 0.2500
10 V 0.5000 0.2421 0.0000
11 V 0.5000 0.7579 0.5000
12 V 0.7579 0.5000 0.7500
13 O 0.0016 0.2536 0.7458
14 O 0.0016 0.7464 0.7542
15 O 0.2536 0.0016 0.5042
16 O 0.2536 0.9984 0.9958
17 O 0.2559 0.4982 0.0041
18 O 0.2559 0.5018 0.4959
19 O 0.4982 0.2559 0.2459
20 O 0.4982 0.7441 0.2541
21 O 0.5018 0.2559 0.7541
22 O 0.5018 0.7441 0.7459
23 O 0.7441 0.4982 0.9959
24 O 0.7441 0.5018 0.5041
25 O 0.7464 0.0016 0.4958
26 O 0.7464 0.9984 0.0042
27 O 0.9984 0.2536 0.2542
28 O 0.9984 0.7464 0.2458